The following is a computed X-ray powder pattern of Li2CuAsCO7. It was derived from a structure optimized by DFT (PBE), using λ = 1.5418 Å (Cu Kα).
No peak broadening, texture or thermal motion is included.

The 10 most intense peaks (2θ = 10–80°), sorted by position:
hkl  Position (°2θ)  I_rel
0 0 1  10.2  1000
0 1 1  17.3  118
1 0 -1  19.0  252
1 0 1  20.3  128
1 1 1  24.7  191
1 0 -2  25.6  335
0 2 0  28.1  397
1 1 2  31.0  136
2 0 0  33.9  179
0 1 4  44.1  108

Structural model:
Cell lengths 5.3058, 6.3427, 8.7022 Å; angles 90.00, 94.28, 90.00 degrees
Space group P2_1/m (No. 11)
Inequivalent atoms, fractional coordinates:
Li1 0.2096 0.0098 0.2718
Cu1 0.2227 0.7500 0.8442
As1 0.3015 0.2500 0.9349
C1 0.2940 0.7500 0.5500
O1 0.0925 0.7500 0.6337
O2 0.1851 0.0454 0.8197
O3 0.2015 0.2500 0.1151
O4 0.2482 0.7500 0.4039
O5 0.3661 0.7500 0.0518
O6 0.4887 0.2500 0.3779